# ZnAs2C6S12N12O6F12
Simulated XRD peak list, copper Kα. Input: the PBE geometry in OQMD.
Peak positions follow from Bragg's law for the DFT cell and can differ from measured ones.

Crystal structure
Lattice parameters (Å, degrees): 11.3774 11.3774 6.4602 90.00 90.00 120.00
Space group P-3 (No. 147)
Unique sites:
Zn (0.0000, 0.0000, 0.0000)
As (0.3333, 0.6667, 0.9477)
C (0.0922, 0.8438, 0.7378)
S (0.0156, 0.3216, 0.1480)
S (0.0863, 0.6812, 0.4795)
N (0.0049, 0.4103, 0.3342)
N (0.1367, 0.8322, 0.5507)
O (0.0453, 0.1700, 0.8254)
F (0.2022, 0.6574, 0.1057)
F (0.2117, 0.5346, 0.7899)

Most intense lines, 10 to 90 degrees two-theta, by angle:
2θ = 13.71°, I = 8.3, (0 0 1); 2θ = 20.81°, I = 100.0, (2 -1 1); 2θ = 27.15°, I = 28.4, (3 0 0); 2θ = 27.65°, I = 22.4, (3 -2 1); 2θ = 30.53°, I = 15.4, (3 0 1); 2θ = 34.45°, I = 19.9, (2 2 1); 2θ = 36.83°, I = 11.9, (2 1 2); 2θ = 39.12°, I = 10.3, (0 3 2); 2θ = 42.35°, I = 20.9, (2 2 2); 2θ = 51.03°, I = 10.3, (5 -1 2)

***

# Ho2Hg
Simulated XRD peak list, copper Kα. Input: the PBE geometry in OQMD.
Peak positions follow from Bragg's law for the DFT cell and can differ from measured ones.

Crystal structure
Lattice parameters (Å, degrees): 6.9934 5.0800 9.1664 90.00 90.00 90.00
Space group Pnma (No. 62)
Unique sites:
Ho (0.0155, 0.2500, 0.1956)
Ho (0.1708, 0.2500, 0.5752)
Hg (0.2366, 0.2500, 0.8997)

Most intense lines, 10 to 90 degrees two-theta, by angle:
2θ = 29.18°, I = 31.4, (1 1 2); 2θ = 31.05°, I = 24.5, (2 1 0); 2θ = 32.20°, I = 30.4, (2 0 2); 2θ = 32.59°, I = 100.0, (2 1 1); 2θ = 34.25°, I = 88.2, (0 1 3); 2θ = 35.34°, I = 59.1, (0 2 0); 2θ = 43.16°, I = 18.4, (2 1 3); 2θ = 48.55°, I = 19.6, (2 2 2); 2θ = 59.42°, I = 19.3, (3 1 4); 2θ = 61.70°, I = 16.3, (2 3 1)

***

# Y2SnMo
Simulated XRD peak list, copper Kα. Input: the PBE geometry in OQMD.
Peak positions follow from Bragg's law for the DFT cell and can differ from measured ones.

Crystal structure
Lattice parameters (Å, degrees): 7.1619 7.1619 7.1619 90.00 90.00 90.00
Space group F-43m (No. 216)
Unique sites:
Y (0.0000, 0.0000, 0.0000)
Y (0.2500, 0.2500, 0.2500)
Sn (0.0000, 0.0000, 0.5000)
Mo (0.2500, 0.2500, 0.7500)

Most intense lines, 10 to 90 degrees two-theta, by angle:
2θ = 21.49°, I = 1.2, (1 1 1); 2θ = 35.45°, I = 100.0, (2 2 0); 2θ = 41.83°, I = 0.9, (3 1 1); 2θ = 51.01°, I = 17.5, (4 0 0); 2θ = 63.65°, I = 35.6, (4 2 2); 2θ = 75.02°, I = 11.1, (4 4 0); 2θ = 85.81°, I = 16.0, (6 2 0)

***

# NdYFe2Ge4
Simulated XRD peak list, copper Kα. Input: the PBE geometry in OQMD.
Peak positions follow from Bragg's law for the DFT cell and can differ from measured ones.

Crystal structure
Lattice parameters (Å, degrees): 4.4047 4.2323 8.2286 90.00 104.09 90.00
Space group Pm (No. 6)
Unique sites:
Nd (0.0000, 0.0000, 0.0000)
Y (0.7777, 0.5000, 0.5821)
Fe (0.2733, 0.0000, 0.4043)
Fe (0.5128, 0.5000, 0.1849)
Ge (0.0777, 0.5000, 0.2927)
Ge (0.3386, 0.0000, 0.6910)
Ge (0.4425, 0.5000, 0.8932)
Ge (0.7078, 0.0000, 0.2985)

Most intense lines, 10 to 90 degrees two-theta, by angle:
2θ = 33.62°, I = 100.0, (1 1 1); 2θ = 34.12°, I = 52.9, (1 1 -2); 2θ = 35.13°, I = 26.3, (1 0 -3); 2θ = 40.03°, I = 41.3, (0 1 3); 2θ = 40.99°, I = 33.7, (2 0 -1); 2θ = 42.73°, I = 41.0, (0 2 0); 2θ = 56.46°, I = 15.7, (1 2 -3); 2θ = 57.96°, I = 15.6, (2 1 2); 2θ = 60.70°, I = 20.6, (2 2 -1); 2θ = 72.39°, I = 17.6, (1 2 4)

***

# TbHo3Si4
Simulated XRD peak list, copper Kα. Input: the PBE geometry in OQMD.
Peak positions follow from Bragg's law for the DFT cell and can differ from measured ones.

Crystal structure
Lattice parameters (Å, degrees): 5.6846 3.8245 7.8806 90.00 90.03 90.00
Space group Pm (No. 6)
Unique sites:
Tb (0.0000, 0.0000, 0.0000)
Ho (0.2701, 0.0000, 0.5001)
Ho (0.5001, 0.5000, 0.1420)
Ho (0.7700, 0.5000, 0.6418)
Si (0.0143, 0.5000, 0.2832)
Si (0.2563, 0.5000, 0.7826)
Si (0.5142, 0.0000, 0.8589)
Si (0.7560, 0.0000, 0.3592)

Most intense lines, 10 to 90 degrees two-theta, by angle:
2θ = 27.54°, I = 31.5, (1 0 -2); 2θ = 28.12°, I = 40.6, (1 1 0); 2θ = 30.37°, I = 100.0, (1 1 -1); 2θ = 32.63°, I = 73.2, (0 1 2); 2θ = 33.52°, I = 80.9, (2 0 1); 2θ = 36.35°, I = 41.5, (1 1 2); 2θ = 37.72°, I = 45.1, (1 0 3); 2θ = 41.20°, I = 37.3, (2 1 -1); 2θ = 53.19°, I = 40.7, (2 1 3); 2θ = 59.42°, I = 31.4, (2 2 1)

***

# BaMgCdHg2
Simulated XRD peak list, copper Kα. Input: the PBE geometry in OQMD.
Peak positions follow from Bragg's law for the DFT cell and can differ from measured ones.

Crystal structure
Lattice parameters (Å, degrees): 4.6789 4.6789 13.2620 90.00 90.00 90.00
Space group I-4m2 (No. 119)
Unique sites:
Ba (0.0000, 0.0000, 0.0000)
Mg (0.0000, 0.5000, 0.2500)
Cd (0.0000, 0.5000, 0.7500)
Hg (0.0000, 0.0000, 0.3859)

Most intense lines, 10 to 90 degrees two-theta, by angle:
2θ = 20.12°, I = 47.6, (1 0 1); 2θ = 26.95°, I = 52.1, (1 1 0); 2θ = 27.76°, I = 80.7, (1 0 3); 2θ = 30.19°, I = 53.4, (1 1 2); 2θ = 38.46°, I = 100.0, (2 0 0); 2θ = 39.04°, I = 63.0, (1 0 5); 2θ = 48.11°, I = 36.2, (2 1 3); 2θ = 55.55°, I = 20.3, (2 2 0); 2θ = 55.97°, I = 44.5, (2 1 5); 2θ = 69.53°, I = 31.7, (2 0 8)

***

> What is the formula in the third record?

Y2SnMo

***

Copy entry 6 word for word.
# BaMgCdHg2
Simulated XRD peak list, copper Kα. Input: the PBE geometry in OQMD.
Peak positions follow from Bragg's law for the DFT cell and can differ from measured ones.

Crystal structure
Lattice parameters (Å, degrees): 4.6789 4.6789 13.2620 90.00 90.00 90.00
Space group I-4m2 (No. 119)
Unique sites:
Ba (0.0000, 0.0000, 0.0000)
Mg (0.0000, 0.5000, 0.2500)
Cd (0.0000, 0.5000, 0.7500)
Hg (0.0000, 0.0000, 0.3859)

Most intense lines, 10 to 90 degrees two-theta, by angle:
2θ = 20.12°, I = 47.6, (1 0 1); 2θ = 26.95°, I = 52.1, (1 1 0); 2θ = 27.76°, I = 80.7, (1 0 3); 2θ = 30.19°, I = 53.4, (1 1 2); 2θ = 38.46°, I = 100.0, (2 0 0); 2θ = 39.04°, I = 63.0, (1 0 5); 2θ = 48.11°, I = 36.2, (2 1 3); 2θ = 55.55°, I = 20.3, (2 2 0); 2θ = 55.97°, I = 44.5, (2 1 5); 2θ = 69.53°, I = 31.7, (2 0 8)

***

Copy entry 3 word for word.
# Y2SnMo
Simulated XRD peak list, copper Kα. Input: the PBE geometry in OQMD.
Peak positions follow from Bragg's law for the DFT cell and can differ from measured ones.

Crystal structure
Lattice parameters (Å, degrees): 7.1619 7.1619 7.1619 90.00 90.00 90.00
Space group F-43m (No. 216)
Unique sites:
Y (0.0000, 0.0000, 0.0000)
Y (0.2500, 0.2500, 0.2500)
Sn (0.0000, 0.0000, 0.5000)
Mo (0.2500, 0.2500, 0.7500)

Most intense lines, 10 to 90 degrees two-theta, by angle:
2θ = 21.49°, I = 1.2, (1 1 1); 2θ = 35.45°, I = 100.0, (2 2 0); 2θ = 41.83°, I = 0.9, (3 1 1); 2θ = 51.01°, I = 17.5, (4 0 0); 2θ = 63.65°, I = 35.6, (4 2 2); 2θ = 75.02°, I = 11.1, (4 4 0); 2θ = 85.81°, I = 16.0, (6 2 0)

***

Copy entry 2 word for word.
# Ho2Hg
Simulated XRD peak list, copper Kα. Input: the PBE geometry in OQMD.
Peak positions follow from Bragg's law for the DFT cell and can differ from measured ones.

Crystal structure
Lattice parameters (Å, degrees): 6.9934 5.0800 9.1664 90.00 90.00 90.00
Space group Pnma (No. 62)
Unique sites:
Ho (0.0155, 0.2500, 0.1956)
Ho (0.1708, 0.2500, 0.5752)
Hg (0.2366, 0.2500, 0.8997)

Most intense lines, 10 to 90 degrees two-theta, by angle:
2θ = 29.18°, I = 31.4, (1 1 2); 2θ = 31.05°, I = 24.5, (2 1 0); 2θ = 32.20°, I = 30.4, (2 0 2); 2θ = 32.59°, I = 100.0, (2 1 1); 2θ = 34.25°, I = 88.2, (0 1 3); 2θ = 35.34°, I = 59.1, (0 2 0); 2θ = 43.16°, I = 18.4, (2 1 3); 2θ = 48.55°, I = 19.6, (2 2 2); 2θ = 59.42°, I = 19.3, (3 1 4); 2θ = 61.70°, I = 16.3, (2 3 1)